# Na2FeBAsO7
Calculated powder X-ray diffraction pattern, a wavelength of 1.5418 Å. Input: a crystal structure in Alexandria, relaxed with PBE+U.
Intensities are scaled so that the largest is 100.

```
24
Lattice="5.426 0.000 0.000 0.000 6.838 0.000 -0.443 0.000 9.201" Properties=species:S:1:pos:R:3 pbc="T T T"
Na 1.155 0.037 2.592
Na 1.155 3.382 2.592
Na 3.829 3.456 6.609
Na 3.829 6.801 6.609
Fe 0.793 5.129 7.785
Fe 4.190 1.710 1.416
B 1.208 5.129 5.358
B 3.776 1.710 3.843
As 1.078 1.710 8.539
As 3.905 5.129 0.662
O -0.058 5.129 5.905
O 0.679 1.710 0.841
O 0.686 0.336 7.602
O 0.686 3.083 7.602
O 1.427 5.129 4.035
O 2.198 5.129 0.304
O 2.194 5.129 6.332
O 2.789 1.710 2.869
O 2.786 1.710 8.897
O 3.556 1.710 5.166
O 4.297 3.755 1.599
O 4.297 6.502 1.599
O 4.304 5.129 8.360
O 5.041 1.710 3.296
```

Main lines, sorted by position (10 to 90 degrees two-theta):
2θ = 16.15°, rel. 32, hkl 0 1 1
2θ = 23.39°, rel. 65, hkl 1 1 1
2θ = 24.78°, rel. 86, hkl 1 0 -2
2θ = 26.04°, rel. 100, hkl 0 2 0
2θ = 27.84°, rel. 36, hkl 0 2 1
2θ = 32.21°, rel. 38, hkl 1 2 -1
2θ = 32.66°, rel. 62, hkl 0 2 2
2θ = 33.06°, rel. 51, hkl 2 0 0
2θ = 47.88°, rel. 27, hkl 2 2 2
2θ = 53.60°, rel. 44, hkl 0 4 0